# 1
In2SnBr8: computed X-ray powder pattern (copper Kα), based on a DFT-relaxed cell (PBE, Alexandria).
Neutral-atom scattering factors, no anomalous dispersion.

Largest 12 diffraction maxima, by angle, 10° ≤ 2θ ≤ 80°:
2θ (°)	I/Imax	hkl
11.81	35	2 0 0
16.51	94	3 1 -1
17.24	31	1 1 -2
21.93	29	3 1 -3
23.09	30	2 2 -2
26.02	100	4 2 -2
26.45	27	4 0 -4
27.21	49	2 0 2
34.91	41	6 2 -4
38.36	38	0 4 0
40.92	59	6 2 0
46.41	48	4 2 -6

Cell and atoms:
Cell lengths 20.136, 9.390, 13.481 Å; angles 90.00, 131.91, 90.00 degrees
Space group C2/c (No. 15)
Unique sites:
In: 0.096 0.236 0.042 (multiplicity 8)
Sn: 0.000 0.492 0.250 (multiplicity 4)
Br: 0.067 0.289 0.679 (multiplicity 8)
Br: 0.105 0.252 0.240 (multiplicity 8)
Br: 0.152 0.002 0.038 (multiplicity 8)
Br: 0.170 0.455 0.034 (multiplicity 8)



# 2
InSnBr3: computed X-ray powder pattern (copper Kα), based on a DFT-relaxed cell (PBE, Alexandria).
Neutral-atom scattering factors, no anomalous dispersion.

Largest 12 diffraction maxima, by angle, 10° ≤ 2θ ≤ 80°:
2θ (°)	I/Imax	hkl
22.90	42	3 3 1
28.59	54	0 0 6
28.76	45	1 3 5
29.52	78	1 5 3
30.31	73	0 6 0
30.63	41	3 5 1
31.00	84	4 2 4
31.53	100	4 4 2
32.87	59	3 3 5
33.41	42	6 0 0
33.55	48	3 5 3
42.10	41	0 6 6

Cell and atoms:
Cell lengths 16.091, 17.707, 18.733 Å; angles 90.00, 90.00, 90.00 degrees
Space group Fmm2 (No. 42)
Unique sites:
In: 0.000 0.245 0.000 (multiplicity 8)
In: 0.190 0.161 0.262 (multiplicity 16)
In: 0.195 0.000 0.569 (multiplicity 8)
Sn: 0.000 0.000 0.119 (multiplicity 4)
Sn: 0.000 0.000 0.409 (multiplicity 4)
Sn: 0.000 0.152 0.760 (multiplicity 8)
Sn: 0.169 0.000 0.895 (multiplicity 8)
Sn: 0.250 0.250 0.036 (multiplicity 8)
Br: 0.000 0.000 0.557 (multiplicity 4)
Br: 0.000 0.000 0.932 (multiplicity 4)
Br: 0.000 0.193 0.252 (multiplicity 8)
Br: 0.116 0.000 0.235 (multiplicity 8)
Br: 0.126 0.169 0.866 (multiplicity 16)
Br: 0.132 0.120 0.062 (multiplicity 16)
Br: 0.143 0.000 0.752 (multiplicity 8)
Br: 0.147 0.110 0.424 (multiplicity 16)
Br: 0.147 0.179 0.633 (multiplicity 16)



# 3
In2SnBr4: computed X-ray powder pattern (copper Kα), based on a DFT-relaxed cell (PBE, Alexandria).
Neutral-atom scattering factors, no anomalous dispersion.

Largest 12 diffraction maxima, by angle, 10° ≤ 2θ ≤ 80°:
2θ (°)	I/Imax	hkl
10.64	32	0 0 2
18.85	42	1 1 2
20.97	34	0 2 0
22.35	55	1 1 3
23.01	37	2 0 0
24.32	42	1 0 4
31.13	35	1 1 5
31.32	51	2 2 0
32.31	51	0 0 6
34.24	64	0 2 5
35.52	57	1 3 2
40.03	100	3 1 3

Cell and atoms:
Cell lengths 7.731, 8.474, 16.623 Å; angles 90.00, 90.00, 90.00 degrees
Space group Pbca (No. 61)
Unique sites:
In: 0.009 0.091 0.149 (multiplicity 8)
Sn: 0.000 0.000 0.500 (multiplicity 4)
Br: 0.107 0.035 0.672 (multiplicity 8)
Br: 0.185 0.196 0.963 (multiplicity 8)



# 4
In2SnBr8: computed X-ray powder pattern (copper Kα), based on a DFT-relaxed cell (PBE, Alexandria).
Neutral-atom scattering factors, no anomalous dispersion.

Largest 12 diffraction maxima, by angle, 10° ≤ 2θ ≤ 80°:
2θ (°)	I/Imax	hkl
10.89	69	1 1 0
17.46	49	0 2 0
17.64	33	1 1 1
19.76	36	2 0 1
24.43	100	2 2 -1
25.93	35	0 0 2
26.72	39	3 1 1
32.58	38	2 2 -2
34.31	34	5 1 0
35.34	25	0 4 0
42.79	46	5 3 0
47.80	25	7 1 -1

Cell and atoms:
Cell lengths 13.677, 10.160, 6.952 Å; angles 90.00, 98.66, 90.00 degrees
Space group C2/m (No. 12)
Unique sites:
In: 0.204 0.000 0.158 (multiplicity 4)
Sn: 0.000 0.000 0.500 (multiplicity 2)
Br: 0.102 0.194 0.265 (multiplicity 8)
Br: 0.118 0.500 0.701 (multiplicity 4)
Br: 0.192 0.000 0.784 (multiplicity 4)



# 5
In4SnBr6: computed X-ray powder pattern (copper Kα), based on a DFT-relaxed cell (PBE, Alexandria).
Neutral-atom scattering factors, no anomalous dispersion.

Largest 12 diffraction maxima, by angle, 10° ≤ 2θ ≤ 80°:
2θ (°)	I/Imax	hkl
13.56	10	1 0 1
28.72	13	2 2 0
29.18	100	2 1 2
29.30	12	1 0 3
32.20	51	3 1 0
36.87	18	0 0 4
46.18	10	4 2 0
46.51	26	4 1 2
49.75	20	3 1 4
59.74	12	5 2 2
61.77	11	2 1 6
71.39	7	5 4 2

Cell and atoms:
Cell lengths 8.791, 8.791, 9.751 Å; angles 90.00, 90.00, 90.00 degrees
Space group P4/mnc (No. 128)
Unique sites:
In: 0.156 0.344 0.250 (multiplicity 8)
Sn: 0.000 0.000 0.000 (multiplicity 2)
Br: 0.000 0.000 0.301 (multiplicity 4)
Br: 0.146 0.692 0.000 (multiplicity 8)



# 6
InSn5Br11: computed X-ray powder pattern (copper Kα), based on a DFT-relaxed cell (PBE, Alexandria).
Neutral-atom scattering factors, no anomalous dispersion.

Largest 12 diffraction maxima, by angle, 10° ≤ 2θ ≤ 80°:
2θ (°)	I/Imax	hkl
13.03	84	1 1 -1
14.70	26	0 2 1
19.40	25	1 3 0
20.49	28	1 3 -1
22.29	26	0 2 2
29.06	65	0 0 3
29.90	100	2 4 0
33.34	45	3 3 -1
37.34	26	1 3 3
38.19	34	2 4 -3
41.48	25	1 7 -1
49.31	25	4 0 2

Cell and atoms:
Cell lengths 9.373, 15.923, 9.552 Å; angles 90.00, 105.18, 90.00 degrees
Space group C2/m (No. 12)
Unique sites:
In: 0.000 0.000 0.000 (multiplicity 2)
Sn: 0.000 0.500 0.000 (multiplicity 2)
Sn: 0.211 0.146 0.651 (multiplicity 8)
Br: 0.000 0.000 0.500 (multiplicity 2)
Br: 0.070 0.500 0.327 (multiplicity 4)
Br: 0.085 0.214 0.325 (multiplicity 8)
Br: 0.240 0.370 0.042 (multiplicity 8)



# 7
In4Sn2Br9: computed X-ray powder pattern (copper Kα), based on a DFT-relaxed cell (PBE, Alexandria).
Neutral-atom scattering factors, no anomalous dispersion.

Largest 12 diffraction maxima, by angle, 10° ≤ 2θ ≤ 80°:
2θ (°)	I/Imax	hkl
15.45	36	1 0 2
20.72	38	0 1 4
23.06	17	1 1 0
26.02	73	2 -1 3
31.20	26	2 0 4
33.44	100	1 1 6
39.15	21	1 2 4
40.51	54	3 0 0
43.33	18	2 -1 9
53.51	23	4 -2 6
65.29	17	3 0 12
69.21	19	1 4 6

Cell and atoms:
Cell lengths 7.7136, 7.7136, 22.3514 Å; angles 90.00, 90.00, 120.00 degrees
Space group P-3 (No. 147)
Unique sites:
In: 0.3333 0.6667 0.1709 (multiplicity 2)
In: 0.3333 0.6667 0.4836 (multiplicity 2)
In: 0.3333 0.6667 0.6846 (multiplicity 2)
In: 0.3333 0.6667 0.9829 (multiplicity 2)
Sn: 0.0000 0.0000 0.1620 (multiplicity 2)
Sn: 0.0000 0.0000 0.3470 (multiplicity 2)
Br: 0.0252 0.3527 0.0920 (multiplicity 6)
Br: 0.0375 0.7079 0.5864 (multiplicity 6)
Br: 0.0479 0.7246 0.2469 (multiplicity 6)



# 8
In2SnBr6: computed X-ray powder pattern (copper Kα), based on a DFT-relaxed cell (PBE, Alexandria).
Neutral-atom scattering factors, no anomalous dispersion.

Largest 12 diffraction maxima, by angle, 10° ≤ 2θ ≤ 80°:
2θ (°)	I/Imax	hkl
13.97	58	1 0 1
16.16	37	0 1 2
22.94	50	1 0 4
26.95	100	2 -1 3
28.17	54	2 0 2
32.65	56	0 2 4
35.65	25	3 -1 1
36.66	84	1 1 6
40.24	69	3 0 0
42.83	24	3 -2 5
49.10	41	1 3 1
63.38	22	3 2 4

Cell and atoms:
Cell lengths 7.7668, 7.7668, 18.9542 Å; angles 90.00, 90.00, 120.00 degrees
Space group R3 (No. 146, hexagonal axes)
Unique sites:
In: 0.0000 0.0000 0.0000 (multiplicity 3)
In: 0.0000 0.0000 0.2924 (multiplicity 3)
Sn: 0.0000 0.0000 0.4893 (multiplicity 3)
Br: 0.0328 0.4319 0.0557 (multiplicity 9)
Br: 0.0714 0.7209 0.8854 (multiplicity 9)



# 9
InSn4Br8: computed X-ray powder pattern (copper Kα), based on a DFT-relaxed cell (PBE, Alexandria).
Neutral-atom scattering factors, no anomalous dispersion.

Largest 12 diffraction maxima, by angle, 10° ≤ 2θ ≤ 80°:
2θ (°)	I/Imax	hkl
11.77	60	1 1 1
22.65	55	3 1 1
27.40	91	4 0 0
35.83	55	5 1 1
39.13	100	4 4 0
41.01	16	5 3 1
48.43	21	4 4 4
50.02	16	5 5 1
54.10	16	5 5 3
63.95	23	8 4 0
70.91	26	8 4 4
75.53	20	9 5 1

Cell and atoms:
Cell lengths 13.022, 13.022, 13.022 Å; angles 90.00, 90.00, 90.00 degrees
Space group F-43m (No. 216)
Unique sites:
In: 0.000 0.000 0.000 (multiplicity 4)
Sn: 0.122 0.122 0.378 (multiplicity 16)
Br: 0.110 0.110 0.610 (multiplicity 16)
Br: 0.140 0.140 0.140 (multiplicity 16)



# 10
Tl2InSn2Br7: computed X-ray powder pattern (copper Kα), based on a DFT-relaxed cell (PBE, Alexandria).
Neutral-atom scattering factors, no anomalous dispersion.

Largest 12 diffraction maxima, by angle, 10° ≤ 2θ ≤ 80°:
2θ (°)	I/Imax	hkl
15.57	45	1 1 0
18.41	70	1 3 0
21.42	53	1 2 1
21.91	85	0 5 1
26.86	43	0 0 2
27.79	73	0 2 2
28.79	55	1 7 0
30.64	100	2 0 0
32.76	58	1 3 2
34.68	40	1 8 1
35.03	59	0 10 0
37.98	42	2 5 1

Cell and atoms:
Cell lengths 5.836, 25.629, 6.639 Å; angles 90.00, 90.00, 90.00 degrees
Space group Imm2 (No. 44)
Unique sites:
Tl: 0.000 0.211 0.000 (multiplicity 4)
In: 0.000 0.500 0.580 (multiplicity 2)
Sn: 0.000 0.111 0.437 (multiplicity 4)
Br: 0.000 0.000 0.324 (multiplicity 2)
Br: 0.000 0.089 0.833 (multiplicity 4)
Br: 0.000 0.229 0.519 (multiplicity 4)
Br: 0.000 0.393 0.855 (multiplicity 4)